This entry pairs a crystal structure of MnAuF6 with its computed powder X-ray diffraction pattern. Radiation: Cu Ka. Structure: a crystal structure in Alexandria, relaxed with PBE+U.

Peak list (6 most intense, 2θ = 15–90°, sorted by position)
| 2theta | I/Imax | (hkl) |
| --- | --- | --- |
| 19.9 | 52 | 1 0 0 |
| 27.2 | 100 | 1 0 2 |
| 39.6 | 23 | 2 -1 2 |
| 44.7 | 26 | 2 0 2 |
| 52.0 | 30 | 1 1 4 |
| 57.8 | 24 | 2 1 2 |

Crystal structure
Lattice parameters (Å, degrees): 5.1636 5.1636 9.6052 90.00 90.00 120.00
Space group P-31c (No. 163)
One atom of each set of equivalent atoms:
Mn (0.3333, 0.6667, 0.2500) (multiplicity 2)
Au (0.0000, 0.0000, 0.0000) (multiplicity 2)
F (0.0390, 0.3700, 0.1373) (multiplicity 12)